[1]
The following is a simulated XRD peak list of CaSnO2. It was derived from a structure optimized by DFT (GGA-PBE), using λ = 1.5418 Å (Cu Kα).

Largest 12 diffraction maxima, by angle, 5° ≤ 2θ ≤ 70°:
two_theta, I (rel.), hkl
10.04, 974, 0 1 0
20.98, 205, 0 2 -1
27.43, 439, 1 0 0
29.89, 761, 0 1 -3
30.45, 782, 0 3 -1
30.60, 1000, 0 2 2
31.19, 495, 1 1 0
31.88, 622, -1 1 2
32.74, 536, 1 -2 1
42.97, 377, 1 2 -3
44.50, 360, 1 0 3
53.58, 330, 0 1 5

Structural model:
```
16
Lattice="3.3589 0.0000 0.0000 -1.6438 8.9296 0.0000 -1.3437 -1.4606 8.9975" Properties=species:S:1:pos:R:3 pbc="T T T"
Ca 0.0000 0.0000 0.0000
Ca -1.3592 6.0706 2.0155
Ca -1.4120 3.6897 7.3969
Ca 0.9597 6.4943 5.4339
Sn 0.7023 3.2057 0.8373
Sn 0.1718 3.0638 4.2847
Sn 0.5299 0.4827 6.4175
Sn 1.5174 0.0044 3.1568
O -1.0943 1.2607 7.6686
O -0.7013 7.0090 4.0181
O -1.2366 7.4790 7.2771
O 0.3554 4.3934 2.5420
O 0.1238 7.7722 1.2701
O 0.2265 4.4309 5.9827
O 1.6424 4.8679 0.0108
O 2.3430 1.9601 1.0921
```

[2]
The following is a simulated XRD peak list of CaSnO2. It was derived from a structure optimized by DFT (GGA-PBE), using λ = 1.5418 Å (Cu Kα).

Largest 12 diffraction maxima, by angle, 5° ≤ 2θ ≤ 70°:
two_theta, I (rel.), hkl
9.99, 758, 0 1 0
20.06, 252, 0 2 0
27.70, 237, 1 0 0
29.19, 1000, 0 1 3
30.17, 470, 0 3 1
30.40, 636, 0 2 -2
30.71, 471, 1 0 -1
30.99, 395, 1 1 2
31.68, 698, 1 1 -1
33.62, 296, 1 2 2
38.01, 285, -1 2 1
38.58, 310, 0 3 3

Structural model:
```
16
Lattice="3.2943 0.0000 0.0000 1.4382 8.9875 0.0000 1.5728 1.6188 9.1751" Properties=species:S:1:pos:R:3 pbc="T T T"
Ca 0.5318 1.0281 2.4184
Ca 2.2466 3.5843 8.2538
Ca 4.0586 7.0221 0.9214
Ca 5.7734 9.5782 6.7567
Sn 1.9445 3.7719 1.5990
Sn 2.9755 6.9119 4.1176
Sn 3.3297 3.6945 5.0575
Sn 4.3607 6.8344 7.5762
O 2.4685 5.7509 2.0450
O 2.2073 2.6558 3.3747
O 3.9742 9.0127 8.4818
O 2.6863 2.2302 6.3633
O 3.6189 8.3761 2.8118
O 2.3311 1.5936 0.6934
O 4.0980 7.9506 5.8004
O 3.8367 4.8555 7.1301
```

Question: What is the formula in the first record?
Answer: CaSnO2